Record 1
For La2Si4NiIr3, the GGA-PBE geometry in Alexandria gives the calculated X-ray powder pattern in this record (λ = 1.5418 Å (Cu Kα)).
Lines closer than 0.1° are merged.

Cell and atoms:
Unit cell a=4.2274 b=4.2274 c=9.8754 alpha=90.00 beta=90.00 gamma=90.00
Fractional coordinates of all 10 atoms:
La (0.0000, 0.5000, 0.2466)
La (0.5000, 0.0000, 0.7534)
Si (0.0000, 0.0000, 0.0000)
Si (0.0000, 0.5000, 0.6239)
Si (0.5000, 0.0000, 0.3761)
Si (0.5000, 0.5000, 0.0000)
Ni (0.0000, 0.0000, 0.5000)
Ir (0.0000, 0.5000, 0.8732)
Ir (0.5000, 0.0000, 0.1268)
Ir (0.5000, 0.5000, 0.5000)

Peak list (12 most intense, 5° ≤ 2θ ≤ 70°, by angle)
d 3.292, 2θ 27.09, intensity 273; d 3.211, 2θ 27.78, intensity 557; d 2.989, 2θ 29.89, intensity 335; d 2.861, 2θ 31.26, intensity 684; d 2.597, 2θ 34.53, intensity 1000; d 2.557, 2θ 35.09, intensity 981; d 2.114, 2θ 42.78, intensity 837; d 1.904, 2θ 47.78, intensity 263; d 1.789, 2θ 51.04, intensity 355; d 1.639, 2θ 56.10, intensity 500; d 1.495, 2θ 62.10, intensity 277; d 1.366, 2θ 68.73, intensity 291

***

Record 2
For La2Ir2O7, the GGA-PBE geometry in Alexandria gives the calculated X-ray powder pattern in this record (λ = 1.5418 Å (Cu Kα)).
Lines closer than 0.1° are merged.

Cell and atoms:
Unit cell a=7.4696 b=7.4696 c=7.4696 alpha=60.00 beta=60.00 gamma=60.00
Fractional coordinates of all 22 atoms:
La (0.0000, 0.0000, 0.0000)
La (0.0000, 0.0000, 0.5000)
La (0.0000, 0.5000, 0.0000)
La (0.5000, 0.0000, 0.0000)
Ir (0.0000, 0.5000, 0.5000)
Ir (0.5000, 0.0000, 0.5000)
Ir (0.5000, 0.5000, 0.0000)
Ir (0.5000, 0.5000, 0.5000)
O (0.1250, 0.1250, 0.1250)
O (0.1703, 0.1703, 0.5797)
O (0.1703, 0.5797, 0.1703)
O (0.1703, 0.5797, 0.5797)
O (0.4203, 0.4203, 0.8297)
O (0.4203, 0.8297, 0.4203)
O (0.4203, 0.8297, 0.8297)
O (0.5797, 0.1703, 0.1703)
O (0.5797, 0.1703, 0.5797)
O (0.5797, 0.5797, 0.1703)
O (0.8297, 0.4203, 0.4203)
O (0.8297, 0.4203, 0.8297)
O (0.8297, 0.8297, 0.4203)
O (0.8750, 0.8750, 0.8750)

Peak list (12 most intense, 5° ≤ 2θ ≤ 70°, by angle)
d 6.099, 2θ 14.52, intensity 43; d 3.185, 2θ 28.01, intensity 37; d 3.049, 2θ 29.29, intensity 1000; d 2.641, 2θ 33.95, intensity 367; d 2.033, 2θ 44.57, intensity 12; d 1.867, 2θ 48.77, intensity 453; d 1.786, 2θ 51.16, intensity 9; d 1.611, 2θ 57.18, intensity 6; d 1.593, 2θ 57.91, intensity 445; d 1.525, 2θ 60.74, intensity 111; d 1.479, 2θ 62.82, intensity 7; d 1.375, 2θ 68.19, intensity 11

***

Record 3
For La4Ir6O19, the GGA-PBE geometry in Alexandria gives the calculated X-ray powder pattern in this record (λ = 1.5418 Å (Cu Kα)).
Lines closer than 0.1° are merged.

Cell and atoms:
Unit cell a=7.9280 b=7.9280 c=7.9280 alpha=109.47 beta=109.47 gamma=109.47
Fractional coordinates of all 29 atoms:
La (0.0000, 0.0000, 0.6874)
La (0.0000, 0.6874, 0.0000)
La (0.3126, 0.3126, 0.3126)
La (0.6874, 0.0000, 0.0000)
Ir (0.1557, 0.6557, 0.5000)
Ir (0.3443, 0.5000, 0.8443)
Ir (0.5000, 0.1557, 0.6557)
Ir (0.5000, 0.8443, 0.3443)
Ir (0.6557, 0.5000, 0.1557)
Ir (0.8443, 0.3443, 0.5000)
O (0.0000, 0.0000, 0.0000)
O (0.0000, 0.3369, 0.3369)
O (0.0000, 0.6631, 0.6631)
O (0.0441, 0.3476, 0.7315)
O (0.2685, 0.6162, 0.3126)
O (0.3036, 0.9559, 0.6874)
O (0.3126, 0.2685, 0.6162)
O (0.3369, 0.0000, 0.3369)
O (0.3369, 0.3369, 0.0000)
O (0.3476, 0.7315, 0.0441)
O (0.3838, 0.6524, 0.6964)
O (0.6162, 0.3126, 0.2685)
O (0.6524, 0.6964, 0.3838)
O (0.6631, 0.0000, 0.6631)
O (0.6631, 0.6631, 0.0000)
O (0.6874, 0.3036, 0.9559)
O (0.6964, 0.3838, 0.6524)
O (0.7315, 0.0441, 0.3476)
O (0.9559, 0.6874, 0.3036)

Peak list (12 most intense, 5° ≤ 2θ ≤ 70°, by angle)
d 6.473, 2θ 13.68, intensity 262; d 4.577, 2θ 19.39, intensity 215; d 3.737, 2θ 23.81, intensity 349; d 2.895, 2θ 30.89, intensity 1000; d 2.643, 2θ 33.92, intensity 120; d 2.447, 2θ 36.73, intensity 652; d 2.158, 2θ 41.87, intensity 111; d 1.869, 2θ 48.73, intensity 193; d 1.795, 2θ 50.86, intensity 490; d 1.671, 2θ 54.94, intensity 110; d 1.526, 2θ 60.70, intensity 324; d 1.350, 2θ 69.66, intensity 177

***

Record 4
For LaIrO5, the GGA-PBE geometry in Alexandria gives the calculated X-ray powder pattern in this record (λ = 1.5418 Å (Cu Kα)).
Lines closer than 0.1° are merged.

Cell and atoms:
Unit cell a=5.7587 b=5.7587 c=7.6681 alpha=109.41 beta=109.41 gamma=71.13
Fractional coordinates of all 14 atoms:
La (0.0453, 0.9547, 0.7500)
La (0.9547, 0.0453, 0.2500)
Ir (0.5000, 0.5000, 0.0000)
Ir (0.5000, 0.5000, 0.5000)
O (0.2021, 0.7754, 0.0337)
O (0.2246, 0.7979, 0.4663)
O (0.2723, 0.3020, 0.3906)
O (0.3020, 0.2723, 0.8906)
O (0.4158, 0.5842, 0.7500)
O (0.5842, 0.4158, 0.2500)
O (0.6980, 0.7277, 0.1094)
O (0.7277, 0.6980, 0.6094)
O (0.7754, 0.2021, 0.5337)
O (0.7979, 0.2246, 0.9663)

Peak list (12 most intense, 5° ≤ 2θ ≤ 70°, by angle)
d 4.276, 2θ 20.77, intensity 1000; d 3.349, 2θ 26.61, intensity 452; d 3.328, 2θ 26.79, intensity 988; d 2.637, 2θ 34.00, intensity 307; d 2.626, 2θ 34.14, intensity 696; d 2.138, 2θ 42.27, intensity 201; d 1.929, 2θ 47.10, intensity 205; d 1.801, 2θ 50.70, intensity 321; d 1.798, 2θ 50.77, intensity 159; d 1.759, 2θ 52.00, intensity 228; d 1.749, 2θ 52.30, intensity 156; d 1.433, 2θ 65.11, intensity 159

***

Record 5
For Rb2LaIr3O12, the GGA-PBE geometry in Alexandria gives the calculated X-ray powder pattern in this record (λ = 1.5418 Å (Cu Kα)).
Lines closer than 0.1° are merged.

Cell and atoms:
Unit cell a=7.6083 b=7.6083 c=7.6083 alpha=57.91 beta=57.91 gamma=57.91
Fractional coordinates of all 18 atoms:
Rb (0.1111, 0.1111, 0.1111)
Rb (0.8889, 0.8889, 0.8889)
La (0.5000, 0.5000, 0.5000)
Ir (0.0000, 0.5000, 0.5000)
Ir (0.5000, 0.0000, 0.5000)
Ir (0.5000, 0.5000, 0.0000)
O (0.1165, 0.5911, 0.5911)
O (0.1963, 0.1963, 0.5932)
O (0.1963, 0.5932, 0.1963)
O (0.4068, 0.8037, 0.8037)
O (0.4089, 0.4089, 0.8835)
O (0.4089, 0.8835, 0.4089)
O (0.5911, 0.1165, 0.5911)
O (0.5911, 0.5911, 0.1165)
O (0.5932, 0.1963, 0.1963)
O (0.8037, 0.4068, 0.8037)
O (0.8037, 0.8037, 0.4068)
O (0.8835, 0.4089, 0.4089)

Peak list (12 most intense, 5° ≤ 2θ ≤ 70°, by angle)
d 6.308, 2θ 14.04, intensity 611; d 6.046, 2θ 14.65, intensity 522; d 3.255, 2θ 27.40, intensity 487; d 3.181, 2θ 28.05, intensity 749; d 3.148, 2θ 28.35, intensity 1000; d 3.023, 2θ 29.55, intensity 960; d 2.645, 2θ 33.89, intensity 212; d 2.015, 2θ 44.98, intensity 228; d 1.900, 2θ 47.87, intensity 342; d 1.842, 2θ 49.49, intensity 446; d 1.628, 2θ 56.54, intensity 223; d 1.590, 2θ 58.00, intensity 304

***

Record 6
For LaY2IrO8, the GGA-PBE geometry in Alexandria gives the calculated X-ray powder pattern in this record (λ = 1.5418 Å (Cu Kα)).
Lines closer than 0.1° are merged.

Cell and atoms:
Unit cell a=5.0793 b=5.0793 c=6.9758 alpha=90.00 beta=90.00 gamma=90.10
Fractional coordinates of all 12 atoms:
La (0.0000, 0.0000, 0.0000)
Y (0.5000, 0.5000, 0.2508)
Y (0.5000, 0.5000, 0.7492)
Ir (0.0000, 0.0000, 0.5000)
O (0.1861, 0.1861, 0.3004)
O (0.1861, 0.1861, 0.6996)
O (0.2685, 0.7315, 0.5000)
O (0.3160, 0.6840, 0.0000)
O (0.6840, 0.3160, 0.0000)
O (0.7315, 0.2685, 0.5000)
O (0.8139, 0.8139, 0.3004)
O (0.8139, 0.8139, 0.6996)

Peak list (12 most intense, 5° ≤ 2θ ≤ 70°, by angle)
d 5.079, 2θ 17.46, intensity 182; d 3.592, 2θ 24.79, intensity 1000; d 2.875, 2θ 31.11, intensity 887; d 2.540, 2θ 35.34, intensity 237; d 2.501, 2θ 35.90, intensity 87; d 1.903, 2θ 47.78, intensity 692; d 1.796, 2θ 50.84, intensity 169; d 1.744, 2θ 52.47, intensity 78; d 1.606, 2θ 57.36, intensity 160; d 1.569, 2θ 58.87, intensity 174; d 1.523, 2θ 60.81, intensity 200; d 1.438, 2θ 64.86, intensity 100